The following is a simulated PXRD pattern of Sr2GaCuSO3. It was derived from the GGA-PBE geometry in Alexandria, using a wavelength of 1.5418 Å.

```
Sr2GaCuSO3
1.0
3.902 0.000 0.000
0.000 3.902 0.000
0.000 0.000 15.835
Sr Ga Cu S O
4 2 2 2 6
Direct
0.250 0.250 0.087
0.250 0.250 0.317
0.750 0.750 0.683
0.750 0.750 0.913
0.250 0.250 0.811
0.750 0.750 0.189
0.250 0.750 0.500
0.750 0.250 0.500
0.250 0.250 0.590
0.750 0.750 0.410
0.250 0.250 0.931
0.250 0.750 0.213
0.250 0.750 0.787
0.750 0.250 0.213
0.750 0.250 0.787
0.750 0.750 0.069
```

Top 6 peaks for 2θ = 10–90°, by angle:
| Position (°2θ) | I (rel.) |
| --- | --- |
| 32.2 | 100 |
| 32.4 | 32 |
| 39.8 | 34 |
| 46.5 | 47 |
| 57.3 | 23 |
| 57.7 | 37 |

The following is a simulated PXRD pattern of ErPaTa. It was derived from the GGA-PBE geometry in Alexandria, using a wavelength of 1.5418 Å.

```
ErPaTa
1.0
1.600 -9.551 0.000
1.600 9.551 0.000
0.000 0.000 4.726
Er Pa Ta
2 2 2
Direct
0.054 0.946 0.750
0.946 0.054 0.250
0.363 0.637 0.750
0.637 0.363 0.250
0.220 0.780 0.750
0.780 0.220 0.250
```

Top 6 peaks for 2θ = 10–90°, by angle:
| Position (°2θ) | I (rel.) |
| --- | --- |
| 34.0 | 83 |
| 34.2 | 100 |
| 38.1 | 38 |
| 43.6 | 42 |
| 59.2 | 34 |
| 68.6 | 22 |

The following is a simulated PXRD pattern of PmMg7Cu5. It was derived from the GGA-PBE geometry in Alexandria, using a wavelength of 1.5418 Å.

```
PmMg7Cu5
1.0
-2.661 4.700 4.701
2.661 -4.700 4.701
2.661 4.700 -4.701
Pm Mg Cu
1 7 5
Direct
0.000 0.000 0.000
0.219 0.514 0.705
0.243 0.743 0.500
0.354 0.354 0.000
0.378 0.034 0.344
0.671 0.671 0.000
0.689 0.034 0.656
0.809 0.514 0.295
0.017 0.019 0.489
0.017 0.527 0.998
0.530 0.019 0.002
0.530 0.527 0.511
0.798 0.298 0.500
```

Top 6 peaks for 2θ = 10–90°, by angle:
| Position (°2θ) | I (rel.) |
| --- | --- |
| 13.3 | 62 |
| 26.8 | 39 |
| 27.0 | 56 |
| 38.3 | 73 |
| 38.4 | 83 |
| 38.9 | 100 |

The following is a simulated PXRD pattern of Tb4Er2Th. It was derived from the GGA-PBE geometry in Alexandria, using a wavelength of 1.5418 Å.

```
Tb4Er2Th
1.0
3.093 -1.786 0.000
3.093 1.786 0.000
-0.003 0.000 20.096
Tb Er Th
4 2 1
Direct
0.000 0.000 0.000
0.001 0.001 0.282
0.332 0.332 0.716
0.334 0.334 0.426
0.666 0.666 0.858
0.667 0.667 0.140
0.666 0.666 0.572
```

Top 6 peaks for 2θ = 10–90°, by angle:
| Position (°2θ) | I (rel.) |
| --- | --- |
| 29.2 | 34 |
| 31.2 | 51 |
| 31.9 | 100 |
| 34.0 | 88 |
| 51.2 | 39 |
| 61.1 | 45 |

The following is a simulated PXRD pattern of ThSb2Rh7Pb2. It was derived from the GGA-PBE geometry in Alexandria, using a wavelength of 1.5418 Å.

```
ThSb2Rh7Pb2
1.0
2.854 -2.847 0.000
2.854 2.847 0.000
-1.832 0.000 15.131
Th Sb Rh Pb
1 2 7 2
Direct
0.000 0.000 0.000
0.420 0.420 0.749
0.580 0.580 0.251
0.045 0.545 0.141
0.377 0.377 0.576
0.455 0.955 0.859
0.500 0.500 0.000
0.545 0.045 0.141
0.623 0.623 0.424
0.955 0.455 0.859
0.119 0.119 0.403
0.881 0.881 0.597
```

Top 6 peaks for 2θ = 10–90°, by angle:
| Position (°2θ) | I (rel.) |
| --- | --- |
| 26.0 | 66 |
| 31.4 | 68 |
| 35.1 | 75 |
| 36.2 | 73 |
| 43.7 | 74 |
| 45.0 | 100 |

The following is a simulated PXRD pattern of Cs2BaSnSe4. It was derived from the GGA-PBE geometry in Alexandria, using a wavelength of 1.5418 Å.

```
Cs2BaSnSe4
1.0
0.000 7.698 14.111
3.650 0.000 14.111
3.650 7.698 0.000
Cs Ba Sn Se
4 2 2 8
Direct
0.065 0.065 0.685
0.315 0.315 0.935
0.685 0.685 0.065
0.935 0.935 0.315
0.125 0.125 0.125
0.875 0.875 0.875
0.375 0.375 0.375
0.625 0.625 0.625
0.026 0.622 0.514
0.338 0.514 0.622
0.378 0.974 0.662
0.486 0.662 0.974
0.514 0.338 0.026
0.622 0.026 0.338
0.662 0.486 0.378
0.974 0.378 0.486
```

Top 6 peaks for 2θ = 10–90°, by angle:
| Position (°2θ) | I (rel.) |
| --- | --- |
| 12.5 | 100 |
| 22.1 | 63 |
| 23.2 | 78 |
| 26.4 | 87 |
| 27.0 | 52 |
| 31.0 | 45 |

The following is a simulated PXRD pattern of CaZn9Ag2. It was derived from the GGA-PBE geometry in Alexandria, using a wavelength of 1.5418 Å.

```
CaZn9Ag2
1.0
2.605 1.504 8.445
-2.605 1.504 8.445
0.000 -3.008 8.445
Ca Zn Ag
1 9 2
Direct
0.000 0.000 0.000
0.082 0.589 0.589
0.333 0.333 0.333
0.411 0.411 0.918
0.411 0.918 0.411
0.500 0.500 0.500
0.589 0.082 0.589
0.589 0.589 0.082
0.667 0.667 0.667
0.918 0.411 0.411
0.139 0.139 0.139
0.861 0.861 0.861
```

Top 6 peaks for 2θ = 10–90°, by angle:
| Position (°2θ) | I (rel.) |
| --- | --- |
| 34.4 | 32 |
| 40.1 | 31 |
| 40.7 | 100 |
| 43.9 | 45 |
| 44.1 | 29 |
| 65.9 | 30 |

The following is a simulated PXRD pattern of Tb12Dy2Ho. It was derived from the GGA-PBE geometry in Alexandria, using a wavelength of 1.5418 Å.

```
Tb12Dy2Ho
1.0
3.551 0.000 0.000
0.000 5.586 0.000
-1.738 0.000 24.240
Tb Dy Ho
12 2 1
Direct
0.039 0.000 0.073
0.226 0.000 0.444
0.283 0.500 0.575
0.330 0.000 0.671
0.396 0.000 0.799
0.427 0.500 0.863
0.573 0.500 0.137
0.604 0.000 0.201
0.670 0.000 0.329
0.717 0.500 0.425
0.774 0.000 0.556
0.961 0.000 0.927
0.140 0.500 0.272
0.860 0.500 0.728
0.500 0.500 0.000
```

Top 6 peaks for 2θ = 10–90°, by angle:
| Position (°2θ) | I (rel.) |
| --- | --- |
| 30.4 | 100 |
| 31.2 | 49 |
| 32.0 | 70 |
| 32.6 | 65 |
| 33.6 | 39 |
| 46.2 | 28 |